For Ba3Ti2MnO9, a structure optimized by DFT (GGA+U) gives the computed XRD peak list in this record (Cu Kα X-rays).
Lines closer than 0.1° are merged.

Structure:
abc: 5.6749 5.6749 6.9499
angles: 90.00 90.00 120.00
Element x y z (fractional)
Ba1 0.0000 0.0000 0.0000
Ba2 0.3333 0.6667 0.6647
Ba3 0.6667 0.3333 0.3353
Ti1 0.3333 0.6667 0.1683
Ti2 0.6667 0.3333 0.8317
Mn1 0.0000 0.0000 0.5000
O1 0.0000 0.5000 0.0000
O2 0.1653 0.3306 0.3347
O3 0.1653 0.8347 0.3347
O4 0.3306 0.1653 0.6653
O5 0.5000 0.0000 0.0000
O6 0.5000 0.5000 0.0000
O7 0.6694 0.8347 0.3347
O8 0.8347 0.1653 0.6653
O9 0.8347 0.6694 0.6653

Most intense lines, 2θ = 10–80°, sorted by position:
(hkl)	Position (°2θ)	I_rel
1 0 1	22.2	17
1 1 0	31.5	100
0 2 1	38.9	23
2 0 2	45.2	34
2 1 1	50.9	9
3 0 0	56.1	38
2 2 0	65.8	20
1 3 1	70.4	5
3 1 2	74.8	17
4 0 1	79.2	8